UZn20Co2: calculated powder X-ray diffraction pattern (Cu Kα (weighted mean of Kα1 and Kα2)), based on a structure optimized by DFT (GGA-PBE).
Peak positions follow from Bragg's law for the DFT cell and can differ from measured ones.

Structural model:
Cell: 14.0583 14.0583 14.0583 Å, 90.00 90.00 90.00°
Space group Fd-3m (No. 227, origin choice 2)
Symmetry-distinct sites (fractional):
U1 0.1250 0.1250 0.1250 x8
Zn1 0.0000 0.0000 0.0000 x16
Zn2 0.0113 0.3750 0.8750 x48
Zn3 0.0594 0.0594 0.3252 x96
Co1 0.0000 0.0000 0.5000 x16

Peak list (10 most intense, 10° ≤ 2θ ≤ 80°, in order of rising 2θ)
- 2θ = 20.96°, rel. 17
- 2θ = 36.14°, rel. 16
- 2θ = 37.86°, rel. 100
- 2θ = 40.59°, rel. 46
- 2θ = 42.15°, rel. 66
- 2θ = 42.66°, rel. 51
- 2θ = 55.46°, rel. 29
- 2θ = 66.13°, rel. 18
- 2θ = 76.69°, rel. 34
- 2θ = 77.75°, rel. 17